# 1
# NdAl3Ag10
Computed powder XRD pattern, CuKα. Input: a GGA-PBE-relaxed structure.

Cell and atoms:
Unit cell a=9.2715 b=9.2715 c=9.2715 alpha=60.00 beta=60.00 gamma=60.00
Positions (direct):
Nd  0.2500  0.2500  0.2500
Nd  0.7500  0.7500  0.7500
Al  0.2383  0.2383  0.7617
Al  0.2383  0.7617  0.2383
Al  0.2383  0.7617  0.7617
Al  0.7617  0.2383  0.2383
Al  0.7617  0.2383  0.7617
Al  0.7617  0.7617  0.2383
Ag  0.1152  0.1152  0.1152
Ag  0.1152  0.1152  0.6543
Ag  0.1152  0.6543  0.1152
Ag  0.1531  0.5000  0.5000
Ag  0.1531  0.5000  0.8469
Ag  0.1531  0.8469  0.5000
Ag  0.3457  0.8848  0.8848
Ag  0.5000  0.1531  0.5000
Ag  0.5000  0.1531  0.8469
Ag  0.5000  0.5000  0.1531
Ag  0.5000  0.5000  0.8469
Ag  0.5000  0.8469  0.1531
Ag  0.5000  0.8469  0.5000
Ag  0.6543  0.1152  0.1152
Ag  0.8469  0.1531  0.5000
Ag  0.8469  0.5000  0.1531
Ag  0.8469  0.5000  0.5000
Ag  0.8848  0.3457  0.8848
Ag  0.8848  0.8848  0.3457
Ag  0.8848  0.8848  0.8848

The 10 most intense peaks (2θ = 10–80°), by angle:
two_theta  I/Imax
30.49  47.7
33.48  24.8
35.58  100.0
38.85  29.6
40.71  49.4
45.91  21.7
58.00  15.2
59.85  29.1
64.78  12.7
70.35  19.6

=====

# 2
# CoIrS
Computed powder XRD pattern, CuKα. Input: a GGA-PBE-relaxed structure.

Cell and atoms:
Unit cell a=3.4109 b=2.7931 c=8.5991 alpha=90.00 beta=96.59 gamma=90.00
Positions (direct):
Co  0.0000  0.0000  0.0000
Co  0.3622  0.5000  0.6302
Ir  0.0939  0.0000  0.3507
Ir  0.5457  0.5000  0.1775
S  0.4572  0.5000  0.8976
S  0.8363  0.0000  0.5835

The 10 most intense peaks (2θ = 10–80°), by angle:
two_theta  I/Imax
10.36  100.0
31.77  10.5
35.66  16.2
38.51  21.4
38.91  13.5
41.92  32.1
42.50  12.4
43.82  12.1
45.49  17.9
54.08  11.2

=====

# 3
# Rb3Ga2Sn4
Computed powder XRD pattern, CuKα. Input: a GGA-PBE-relaxed structure.

Cell and atoms:
Unit cell a=10.3658 b=10.3658 c=7.1279 alpha=109.37 beta=109.37 gamma=66.10
Positions (direct):
Rb  0.0404  0.9596  0.7500
Rb  0.2823  0.5124  0.9004
Rb  0.4876  0.7177  0.5996
Rb  0.5124  0.2823  0.4004
Rb  0.7177  0.4876  0.0996
Rb  0.9596  0.0404  0.2500
Ga  0.0811  0.3480  0.4254
Ga  0.3480  0.0811  0.9254
Ga  0.6520  0.9189  0.0746
Ga  0.9189  0.6520  0.5746
Sn  0.1001  0.3145  0.0286
Sn  0.1315  0.5893  0.3554
Sn  0.3145  0.1001  0.5286
Sn  0.4107  0.8685  0.1446
Sn  0.5893  0.1315  0.8554
Sn  0.6855  0.8999  0.4714
Sn  0.8685  0.4107  0.6446
Sn  0.8999  0.6855  0.9714

The 10 most intense peaks (2θ = 10–80°), by angle:
two_theta  I/Imax
11.09  86.0
26.31  43.2
26.90  46.6
27.36  29.8
28.97  100.0
29.08  95.1
29.63  27.0
33.45  53.5
34.00  25.9
43.53  29.9

=====

# 4
# Tl2Cr2FeS6
Computed powder XRD pattern, CuKα. Input: a GGA-PBE-relaxed structure.

Cell and atoms:
Unit cell a=6.0405 b=6.0405 c=7.6671 alpha=97.97 beta=97.97 gamma=119.98
Positions (direct):
Tl  0.1693  0.8307  0.0000
Tl  0.8307  0.1693  0.0000
Cr  0.3305  0.6695  0.5000
Cr  0.6695  0.3305  0.5000
Fe  0.0000  0.0000  0.5000
S  0.0623  0.3856  0.6723
S  0.2643  0.2643  0.3295
S  0.3856  0.0623  0.6723
S  0.6144  0.9377  0.3277
S  0.7357  0.7357  0.6705
S  0.9377  0.6144  0.3277

The 10 most intense peaks (2θ = 10–80°), by angle:
two_theta  I/Imax
17.47  40.6
18.67  26.8
20.83  29.9
24.16  45.9
29.85  27.1
30.63  35.2
33.60  50.2
33.94  100.0
44.27  33.4
52.47  45.5

=====

# 5
# Pr8Y4Tm
Computed powder XRD pattern, CuKα. Input: a GGA-PBE-relaxed structure.

Cell and atoms:
Unit cell a=6.6391 b=7.0017 c=11.7683 alpha=90.25 beta=106.20 gamma=118.15
Positions (direct):
Pr  0.0000  0.0000  0.0000
Pr  0.0166  0.8731  0.2986
Pr  0.0734  0.4788  0.4881
Pr  0.3513  0.7272  0.8211
Pr  0.4616  0.3998  0.3497
Pr  0.5048  0.2668  0.8715
Pr  0.5819  0.9243  0.4346
Pr  0.8699  0.2031  0.7374
Y  0.0748  0.5542  0.0917
Y  0.2365  0.0639  0.5870
Y  0.6247  0.1039  0.1616
Y  0.7467  0.6429  0.6757
Tm  0.5534  0.5612  0.0858

The 10 most intense peaks (2θ = 10–80°), by angle:
two_theta  I/Imax
26.86  14.3
29.85  20.2
29.96  19.9
30.67  36.4
30.92  76.0
31.11  100.0
31.66  20.0
34.95  12.5
53.16  14.0
55.86  12.2

=====

# 6
# CrCuTeSe
Computed powder XRD pattern, CuKα. Input: a GGA-PBE-relaxed structure.

Cell and atoms:
Unit cell a=4.2049 b=4.2049 c=6.4083 alpha=90.00 beta=90.00 gamma=120.00
Positions (direct):
Cr  0.0000  0.0000  0.0000
Cu  0.3333  0.6667  0.5501
Te  0.0000  0.0000  0.4129
Se  0.3333  0.6667  0.9279

The 10 most intense peaks (2θ = 10–80°), by angle:
two_theta  I/Imax
24.44  100.0
27.84  56.0
28.19  70.0
37.38  51.6
43.02  83.8
49.47  57.8
52.02  56.5
58.29  13.6
67.61  21.8
79.24  15.9

=====

# 7
# TiTe3O8
Computed powder XRD pattern, CuKα. Input: a GGA-PBE-relaxed structure.

Cell and atoms:
Unit cell a=9.7179 b=9.7179 c=9.7179 alpha=109.47 beta=109.47 gamma=109.47
Positions (direct):
Ti  0.0000  0.0000  0.5000
Ti  0.0000  0.5000  0.0000
Ti  0.5000  0.0000  0.0000
Ti  0.5000  0.5000  0.5000
Te  0.0459  0.2500  0.2959
Te  0.2041  0.4541  0.7500
Te  0.2500  0.2959  0.0459
Te  0.2500  0.7959  0.5459
Te  0.2959  0.0459  0.2500
Te  0.4541  0.7500  0.2041
Te  0.5459  0.2500  0.7959
Te  0.7041  0.9541  0.7500
Te  0.7500  0.2041  0.4541
Te  0.7500  0.7041  0.9541
Te  0.7959  0.5459  0.2500
Te  0.9541  0.7500  0.7041
O  0.0000  0.3438  0.5000
O  0.0000  0.6562  0.5000
O  0.0344  0.4622  0.8042
O  0.0378  0.0722  0.3420
O  0.0722  0.3420  0.0378
O  0.1562  0.1562  0.1562
O  0.1580  0.2302  0.6958
O  0.1958  0.9656  0.5378
O  0.2302  0.6958  0.1580
O  0.2698  0.4278  0.4656
O  0.3042  0.8420  0.7698
O  0.3420  0.0378  0.0722
O  0.3438  0.5000  0.0000
O  0.4278  0.4656  0.2698
O  0.4622  0.8042  0.0344
O  0.4656  0.2698  0.4278
O  0.5000  0.0000  0.3438
O  0.5000  0.0000  0.6562
O  0.5344  0.7302  0.5722
O  0.5378  0.1958  0.9656
O  0.5722  0.5344  0.7302
O  0.6562  0.5000  0.0000
O  0.6580  0.9622  0.9278
O  0.6958  0.1580  0.2302
O  0.7302  0.5722  0.5344
O  0.7698  0.3042  0.8420
O  0.8042  0.0344  0.4622
O  0.8420  0.7698  0.3042
O  0.8438  0.8438  0.8438
O  0.9278  0.6580  0.9622
O  0.9622  0.9278  0.6580
O  0.9656  0.5378  0.1958

The 10 most intense peaks (2θ = 10–80°), by angle:
two_theta  I/Imax
19.38  39.9
27.54  100.0
29.79  26.1
31.90  31.2
33.89  20.7
35.79  14.1
41.01  13.9
45.74  26.5
52.88  11.7
54.22  22.1